No. 1
The following is a theoretical X-ray powder pattern of Ce8TcOs3Br4. It was derived from a DFT-relaxed cell (GGA-PBE, Alexandria), using CuKα.

The 12 most intense peaks (2θ from 10° to 80°), sorted by position:
(hkl)	d [Å]	Position (°2θ)	intensity
0 0 3	7.658	11.6	373
0 2 4	2.996	29.8	1000
0 2 7	2.398	37.5	177
2 0 8	2.223	40.6	304
2 2 0	2.028	44.7	369
2 2 3	1.960	46.3	77
2 0 11	1.795	50.9	115
4 0 4	1.679	54.7	181
0 4 8	1.498	61.9	87
2 2 12	1.392	67.3	71
2 4 4	1.293	73.2	152
4 2 8	1.205	79.6	86

Cell and atoms:
abc: 8.1112 8.1112 22.9727
angles: 90.00 90.00 120.00
Space group R-3m (No. 166, hexagonal axes)
Unique sites:
1 Ce 0.0000 0.0000 0.2315 x6
2 Ce 0.0014 0.5007 0.2318 x18
3 Tc 0.0000 0.0000 0.5000 x3
4 Os 0.0000 0.5000 0.5000 x9
5 Br 0.0000 0.0000 0.0000 x3
6 Br 0.0000 0.5000 0.0000 x9


No. 2
The following is a theoretical X-ray powder pattern of Ho5Se4S. It was derived from a DFT-relaxed cell (GGA-PBE, Alexandria), using CuKα.

The 12 most intense peaks (2θ from 10° to 80°), sorted by position:
(hkl)	d [Å]	Position (°2θ)	intensity
0 1 5	3.284	27.2	295
1 0 10	2.844	31.5	1000
0 1 20	2.014	45.0	350
1 1 0	2.009	45.1	374
1 0 25	1.718	53.3	30
2 0 5	1.714	53.5	106
0 0 30	1.646	55.8	56
0 2 10	1.641	56.1	193
2 0 20	1.422	65.7	113
1 2 5	1.303	72.5	30
1 1 30	1.273	74.5	143
2 1 10	1.271	74.7	165

Cell and atoms:
abc: 4.0170 4.0170 49.3928
angles: 90.00 90.00 120.00
Space group R-3m (No. 166, hexagonal axes)
Unique sites:
1 Ho 0.0000 0.0000 0.0000 x3
2 Ho 0.0000 0.0000 0.1962 x6
3 Ho 0.0000 0.0000 0.4008 x6
4 Se 0.0000 0.0000 0.1019 x6
5 Se 0.0000 0.0000 0.2994 x6
6 S 0.0000 0.0000 0.5000 x3


No. 3
The following is a theoretical X-ray powder pattern of Na3LiTl4I8. It was derived from a DFT-relaxed cell (GGA-PBE, Alexandria), using CuKα.

The 12 most intense peaks (2θ from 10° to 80°), sorted by position:
(hkl)	d [Å]	Position (°2θ)	intensity
0 0 3	7.982	11.1	182
0 2 1	4.033	22.0	275
0 2 4	3.378	26.4	1000
2 0 5	3.111	28.7	253
2 0 8	2.416	37.2	362
2 2 0	2.362	38.1	390
4 0 4	1.936	46.9	207
2 2 9	1.767	51.7	149
0 4 8	1.689	54.3	120
2 2 12	1.524	60.8	143
2 4 4	1.497	62.0	179
4 2 8	1.374	68.3	120

Cell and atoms:
abc: 9.4498 9.4498 23.9455
angles: 90.00 90.00 120.00
Space group R-3m (No. 166, hexagonal axes)
Unique sites:
1 Na 0.0000 0.5000 0.0000 x9
2 Li 0.0000 0.0000 0.0000 x3
3 Tl 0.0000 0.0000 0.5000 x3
4 Tl 0.0000 0.5000 0.5000 x9
5 I 0.0000 0.0000 0.2591 x6
6 I 0.0093 0.5046 0.7393 x18


No. 4
The following is a theoretical X-ray powder pattern of Pr2Ho5. It was derived from a DFT-relaxed cell (GGA-PBE, Alexandria), using CuKα.

The 12 most intense peaks (2θ from 10° to 80°), sorted by position:
(hkl)	d [Å]	Position (°2θ)	intensity
3 1 -2	3.158	28.3	238
4 0 2	2.857	31.3	243
2 2 1	2.764	32.4	1000
1 1 4	2.118	42.7	156
6 0 -4	1.825	50.0	66
3 3 -2	1.822	50.1	132
6 2 3	1.631	56.4	206
2 0 -6	1.538	60.2	76
1 3 4	1.536	60.2	151
4 2 -5	1.523	60.8	111
2 4 1	1.520	60.9	54
0 2 7	1.215	78.8	52

Cell and atoms:
abc: 15.838 6.308 9.264
angles: 90.00 95.75 90.00
Space group C2/c (No. 15)
Unique sites:
1 Pr 0.073 0.168 0.108 x8
2 Ho 0.000 0.336 0.750 x4
3 Ho 0.146 0.336 0.465 x8
4 Ho 0.214 0.167 0.821 x8


What is the formula in the second record?
Ho5Se4S


Which formula does entry 2 have?
Ho5Se4S